# HfTl8Mo6O24
Simulated powder diffractogram, λ = 1.5418 Å (Cu Kα). Input: the PBE+U geometry in Alexandria.

Atomic structure:
Unit cell a=11.2628 b=11.2628 c=8.3610 alpha=102.78 beta=102.78 gamma=119.13
Element x y z (fractional)
Hf (0.0000, 0.0000, 0.0000)
Tl (0.0864, 0.4362, 0.8720)
Tl (0.3059, 0.3059, 0.6835)
Tl (0.3325, 0.6675, 0.5000)
Tl (0.4362, 0.0864, 0.8720)
Tl (0.5638, 0.9136, 0.1280)
Tl (0.6675, 0.3325, 0.5000)
Tl (0.6941, 0.6941, 0.3165)
Tl (0.9136, 0.5638, 0.1280)
Mo (0.0357, 0.7241, 0.6861)
Mo (0.2759, 0.9643, 0.3139)
Mo (0.3573, 0.3573, 0.2066)
Mo (0.6427, 0.6427, 0.7934)
Mo (0.7241, 0.0357, 0.6861)
Mo (0.9643, 0.2759, 0.3139)
O (0.0275, 0.4170, 0.2272)
O (0.0286, 0.8767, 0.8073)
O (0.0802, 0.3542, 0.5442)
O (0.1233, 0.9714, 0.1927)
O (0.1894, 0.1894, 0.0232)
O (0.2067, 0.7782, 0.2879)
O (0.2218, 0.7933, 0.7121)
O (0.3477, 0.3477, 0.4134)
O (0.3542, 0.0802, 0.5442)
O (0.3715, 0.5194, 0.1933)
O (0.4170, 0.0275, 0.2272)
O (0.4806, 0.6285, 0.8067)
O (0.5194, 0.3715, 0.1933)
O (0.5830, 0.9725, 0.7728)
O (0.6285, 0.4806, 0.8067)
O (0.6458, 0.9198, 0.4558)
O (0.6523, 0.6523, 0.5866)
O (0.7782, 0.2067, 0.2879)
O (0.7933, 0.2218, 0.7121)
O (0.8106, 0.8106, 0.9768)
O (0.8767, 0.0286, 0.8073)
O (0.9198, 0.6458, 0.4558)
O (0.9714, 0.1233, 0.1927)
O (0.9725, 0.5830, 0.7728)

The 6 most intense peaks (2θ = 10–90°), in order of rising 2θ:
2θ/deg, d (Å), I_rel
18.5, 4.788, 18
23.8, 3.732, 28
25.4, 3.504, 100
27.2, 3.279, 20
27.6, 3.237, 40
29.5, 3.025, 19